This entry pairs a crystal structure of LiH2PtF8 with its calculated powder XRD pattern. Radiation: λ = 1.5418 Å (Cu Kα). Structure: a cell relaxed with GGA-PBE.
Neutral-atom scattering factors, no anomalous dispersion.

Peak list (10 most intense, 2θ = 10–90°, sorted by position)
2θ = 14.26°, intensity 100.0; 2θ = 18.17°, intensity 64.1; 2θ = 18.80°, intensity 66.9; 2θ = 21.09°, intensity 41.8; 2θ = 23.67°, intensity 60.7; 2θ = 25.09°, intensity 27.7; 2θ = 25.71°, intensity 26.2; 2θ = 26.81°, intensity 27.3; 2θ = 37.20°, intensity 34.7; 2θ = 40.91°, intensity 31.1

Structure:
Unit cell a=4.7250 b=4.9617 c=6.3095 alpha=79.92 beta=89.43 gamma=87.59
Atoms (fractional coordinates):
Li (0.0000, 0.0000, 0.0000)
H (0.2400, 0.4907, 0.8496)
H (0.7600, 0.5093, 0.1504)
Pt (0.0000, 0.0000, 0.5000)
F (0.2190, 0.8077, 0.7489)
F (0.2189, 0.8553, 0.2827)
F (0.2401, 0.3028, 0.4747)
F (0.2522, 0.3146, 0.9438)
F (0.7478, 0.6854, 0.0562)
F (0.7599, 0.6972, 0.5253)
F (0.7811, 0.1447, 0.7173)
F (0.7810, 0.1923, 0.2511)



This entry pairs a crystal structure of K5TlSeO2 with its calculated powder XRD pattern. Radiation: λ = 1.5418 Å (Cu Kα). Structure: a cell relaxed with GGA-PBE.
Neutral-atom scattering factors, no anomalous dispersion.

Peak list (10 most intense, 2θ = 10–90°, sorted by position)
2θ = 16.68°, intensity 38.6; 2θ = 18.76°, intensity 87.1; 2θ = 29.36°, intensity 100.0; 2θ = 30.86°, intensity 23.2; 2θ = 33.74°, intensity 47.5; 2θ = 34.60°, intensity 18.6; 2θ = 38.88°, intensity 28.4; 2θ = 48.45°, intensity 16.1; 2θ = 49.10°, intensity 26.1; 2θ = 57.67°, intensity 28.2

Structure:
Unit cell a=5.3137 b=5.3137 c=10.3688 alpha=90.00 beta=90.00 gamma=90.00
Atoms (fractional coordinates):
K (0.0000, 0.0000, 0.0000)
K (0.0000, 0.5000, 0.2215)
K (0.0000, 0.5000, 0.7785)
K (0.5000, 0.0000, 0.2215)
K (0.5000, 0.0000, 0.7785)
Tl (0.0000, 0.0000, 0.5000)
Se (0.5000, 0.5000, 0.0000)
O (0.0000, 0.0000, 0.2658)
O (0.0000, 0.0000, 0.7342)



This entry pairs a crystal structure of Nd2HfAlPt6 with its calculated powder XRD pattern. Radiation: λ = 1.5418 Å (Cu Kα). Structure: a cell relaxed with GGA-PBE.
Neutral-atom scattering factors, no anomalous dispersion.

Peak list (10 most intense, 2θ = 10–90°, sorted by position)
2θ = 19.40°, intensity 31.5; 2θ = 22.29°, intensity 54.1; 2θ = 25.89°, intensity 22.8; 2θ = 37.09°, intensity 76.7; 2θ = 38.76°, intensity 35.2; 2θ = 39.39°, intensity 100.0; 2θ = 41.94°, intensity 27.0; 2θ = 47.69°, intensity 36.0; 2θ = 63.07°, intensity 16.9; 2θ = 65.28°, intensity 28.3

Structure:
Unit cell a=8.6318 b=8.6318 c=8.6318 alpha=38.68 beta=38.68 gamma=38.68
Atoms (fractional coordinates):
Nd (0.2061, 0.2061, 0.2061)
Nd (0.7939, 0.7939, 0.7939)
Hf (0.0000, 0.0000, 0.0000)
Al (0.5000, 0.5000, 0.5000)
Pt (0.2504, 0.7440, 0.7440)
Pt (0.2560, 0.2560, 0.7496)
Pt (0.2560, 0.7496, 0.2560)
Pt (0.7440, 0.2504, 0.7440)
Pt (0.7440, 0.7440, 0.2504)
Pt (0.7496, 0.2560, 0.2560)



This entry pairs a crystal structure of Cs2KRhI6 with its calculated powder XRD pattern. Radiation: λ = 1.5418 Å (Cu Kα). Structure: a cell relaxed with GGA-PBE.
Neutral-atom scattering factors, no anomalous dispersion.

Peak list (10 most intense, 2θ = 10–90°, sorted by position)
2θ = 12.59°, intensity 28.6; 2θ = 25.34°, intensity 100.0; 2θ = 29.34°, intensity 93.1; 2θ = 38.41°, intensity 22.2; 2θ = 41.97°, intensity 61.9; 2θ = 49.67°, intensity 35.3; 2θ = 52.04°, intensity 19.4; 2θ = 53.76°, intensity 13.8; 2θ = 68.98°, intensity 20.5; 2θ = 81.83°, intensity 14.7

Structure:
Unit cell a=8.6099 b=8.6099 c=8.6099 alpha=60.00 beta=60.00 gamma=60.00
Atoms (fractional coordinates):
Cs (0.2500, 0.2500, 0.2500)
Cs (0.7500, 0.7500, 0.7500)
K (0.0000, 0.0000, 0.0000)
Rh (0.5000, 0.5000, 0.5000)
I (0.2777, 0.2777, 0.7223)
I (0.2777, 0.7223, 0.2777)
I (0.2777, 0.7223, 0.7223)
I (0.7223, 0.2777, 0.2777)
I (0.7223, 0.2777, 0.7223)
I (0.7223, 0.7223, 0.2777)



This entry pairs a crystal structure of Ta2CoH6 with its calculated powder XRD pattern. Radiation: λ = 1.5418 Å (Cu Kα). Structure: a cell relaxed with GGA-PBE.
Neutral-atom scattering factors, no anomalous dispersion.

Peak list (10 most intense, 2θ = 10–90°, sorted by position)
2θ = 21.97°, intensity 29.7; 2θ = 34.98°, intensity 100.0; 2θ = 36.01°, intensity 94.1; 2θ = 40.24°, intensity 33.4; 2θ = 41.70°, intensity 59.5; 2θ = 59.33°, intensity 44.4; 2θ = 69.75°, intensity 13.4; 2θ = 70.38°, intensity 13.2; 2θ = 71.15°, intensity 24.2; 2θ = 73.03°, intensity 23.4

Structure:
Unit cell a=5.4125 b=5.4125 c=5.4125 alpha=147.80 beta=131.08 gamma=59.79
Atoms (fractional coordinates):
Ta (0.1599, 0.1599, 0.0000)
Ta (0.8401, 0.8401, 0.0000)
Co (0.5000, 0.5000, 0.0000)
H (0.1169, 0.3405, 0.7764)
H (0.2813, 0.0000, 0.2813)
H (0.4359, 0.6595, 0.7764)
H (0.5641, 0.3405, 0.2236)
H (0.7187, 0.0000, 0.7187)
H (0.8831, 0.6595, 0.2236)